This entry pairs a crystal structure of Na4SrTa5O15 with its computed X-ray diffraction stick pattern. Radiation: copper Kα. Structure: the PBE geometry in the Materials Project.
Kinematic intensities with the Lorentz-polarization factor, no thermal factor.

Largest 10 diffraction maxima, by angle, 2θ = 10–90°:
| 2θ/deg | d_spacing | Rel. int. |
| --- | --- | --- |
| 22.17 | 4.010 | 39.7 |
| 22.41 | 3.967 | 75.6 |
| 31.73 | 2.820 | 100.0 |
| 31.90 | 2.805 | 52.0 |
| 45.23 | 2.005 | 16.6 |
| 45.74 | 1.983 | 30.7 |
| 51.51 | 1.774 | 17.3 |
| 56.41 | 1.631 | 21.2 |
| 56.74 | 1.622 | 42.1 |
| 66.29 | 1.410 | 19.1 |

Cell and atoms:
Lattice parameters (Å, degrees): 6.8971 8.8835 11.2853 108.70 90.48 104.53
Fractional positions:
Na: 0.0000 0.0000 0.0000
Na: 0.0000 0.0000 0.5000
Na: 0.1993 0.6002 0.3995
Na: 0.1998 0.6001 0.9004
Na: 0.4000 0.2007 0.8004
Na: 0.6000 0.7993 0.1996
Na: 0.8002 0.3999 0.0996
Na: 0.8007 0.3998 0.6005
Sr: 0.3995 0.2001 0.2997
Sr: 0.6005 0.7999 0.7003
Ta: 0.0981 0.7968 0.1988
Ta: 0.0988 0.8003 0.7003
Ta: 0.2975 0.3989 0.6021
Ta: 0.2991 0.4016 0.0980
Ta: 0.5000 0.0000 0.0000
Ta: 0.5000 0.0000 0.5000
Ta: 0.7009 0.5984 0.9020
Ta: 0.7025 0.6011 0.3979
Ta: 0.9012 0.1997 0.2997
Ta: 0.9019 0.2032 0.8012
O: 0.0307 0.0152 0.2726
O: 0.0879 0.3285 0.4562
O: 0.0997 0.2999 0.7001
O: 0.1030 0.2989 0.2006
O: 0.1149 0.2703 0.9425
O: 0.1700 0.5850 0.1276
O: 0.2304 0.6154 0.6727
O: 0.2880 0.9284 0.8559
O: 0.3006 0.9030 0.1018
O: 0.3027 0.8985 0.6008
O: 0.3154 0.8733 0.3422
O: 0.3697 0.1849 0.5271
O: 0.4300 0.2150 0.0729
O: 0.4844 0.5267 0.2577
O: 0.5000 0.5000 0.0000
O: 0.5000 0.5000 0.5000
O: 0.5156 0.4733 0.7423
O: 0.5700 0.7850 0.9271
O: 0.6303 0.8151 0.4729
O: 0.6846 0.1267 0.6578
O: 0.6973 0.1015 0.3992
O: 0.6994 0.0970 0.8982
O: 0.7120 0.0716 0.1441
O: 0.7696 0.3846 0.3273
O: 0.8300 0.4150 0.8724
O: 0.8851 0.7297 0.0575
O: 0.8970 0.7011 0.7994
O: 0.9003 0.7001 0.2999
O: 0.9121 0.6715 0.5438
O: 0.9693 0.9848 0.7274



This entry pairs a crystal structure of Na3Sr7Ta3Ti7O30 with its computed X-ray diffraction stick pattern. Radiation: copper Kα. Structure: the PBE geometry in the Materials Project.
Kinematic intensities with the Lorentz-polarization factor, no thermal factor.

Largest 10 diffraction maxima, by angle, 2θ = 10–90°:
| 2θ/deg | d_spacing | Rel. int. |
| --- | --- | --- |
| 17.91 | 4.953 | 7.4 |
| 22.43 | 3.963 | 8.4 |
| 22.88 | 3.887 | 19.1 |
| 31.93 | 2.802 | 100.0 |
| 45.69 | 1.986 | 12.6 |
| 45.84 | 1.980 | 25.1 |
| 56.85 | 1.620 | 13.1 |
| 56.94 | 1.617 | 25.5 |
| 66.72 | 1.402 | 14.4 |
| 66.83 | 1.400 | 7.3 |

Cell and atoms:
Lattice parameters (Å, degrees): 7.9425 3.9563 19.8113 90.00 90.05 90.00
Fractional positions:
Na: 0.0000 0.0000 0.0000
Na: 0.0265 0.0000 0.2176
Na: 0.4864 0.0000 0.2157
Sr: 0.0000 0.0000 0.8106
Sr: 0.0014 0.0000 0.6112
Sr: 0.0115 0.0000 0.4126
Sr: 0.4981 0.0000 0.4125
Sr: 0.4983 0.0000 0.8101
Sr: 0.5012 0.0000 0.0032
Sr: 0.5019 0.0000 0.6111
Ta: 0.2539 0.5000 0.1116
Ta: 0.7559 0.5000 0.3081
Ta: 0.7586 0.5000 0.1080
Ti: 0.2425 0.5000 0.9110
Ti: 0.2478 0.5000 0.7117
Ti: 0.2503 0.5000 0.5125
Ti: 0.2557 0.5000 0.3117
Ti: 0.7481 0.5000 0.7107
Ti: 0.7493 0.5000 0.9086
Ti: 0.7502 0.5000 0.5118
O: 0.0070 0.5000 0.1063
O: 0.0069 0.5000 0.3112
O: 0.0101 0.5000 0.5088
O: 0.0097 0.5000 0.9057
O: 0.0107 0.5000 0.7074
O: 0.2564 0.5000 0.2086
O: 0.2566 0.0000 0.3116
O: 0.2580 0.5000 0.4090
O: 0.2592 0.0000 0.5086
O: 0.2603 0.5000 0.6080
O: 0.2597 0.5000 0.8071
O: 0.2605 0.0000 0.7074
O: 0.2619 0.0000 0.1062
O: 0.2623 0.0000 0.9059
O: 0.2668 0.5000 0.0070
O: 0.5070 0.5000 0.1059
O: 0.5071 0.5000 0.3112
O: 0.5097 0.5000 0.5087
O: 0.5110 0.5000 0.7078
O: 0.5119 0.5000 0.9061
O: 0.7508 0.5000 0.0072
O: 0.7525 0.0000 0.1057
O: 0.7570 0.0000 0.3112
O: 0.7572 0.0000 0.9061
O: 0.7578 0.5000 0.2081
O: 0.7584 0.5000 0.4090
O: 0.7592 0.0000 0.5087
O: 0.7597 0.5000 0.6082
O: 0.7605 0.0000 0.7076
O: 0.7615 0.5000 0.8072



This entry pairs a crystal structure of Na4SrU3O12 with its computed X-ray diffraction stick pattern. Radiation: copper Kα. Structure: the PBE geometry in the Materials Project.
Kinematic intensities with the Lorentz-polarization factor, no thermal factor.

Largest 10 diffraction maxima, by angle, 2θ = 10–90°:
| 2θ/deg | d_spacing | Rel. int. |
| --- | --- | --- |
| 14.41 | 6.145 | 17.3 |
| 20.44 | 4.345 | 100.0 |
| 29.06 | 3.073 | 99.7 |
| 41.56 | 2.173 | 33.0 |
| 46.74 | 1.943 | 46.0 |
| 51.51 | 1.774 | 42.1 |
| 60.24 | 1.536 | 20.9 |
| 64.31 | 1.448 | 22.7 |
| 68.25 | 1.374 | 19.6 |
| 83.18 | 1.161 | 23.5 |

Cell and atoms:
Lattice parameters (Å, degrees): 7.5265 7.5265 7.5265 109.47 109.47 109.47
Fractional positions:
Na: 0.0000 0.0000 0.5000
Na: 0.0000 0.5000 0.0000
Na: 0.5000 0.0000 0.0000
Na: 0.5000 0.5000 0.5000
Sr: 0.0000 0.0000 0.0000
U: 0.0000 0.5000 0.5000
U: 0.5000 0.0000 0.5000
U: 0.5000 0.5000 0.0000
O: 0.0000 0.2764 0.2764
O: 0.0000 0.7236 0.7236
O: 0.2500 0.5000 0.7500
O: 0.2500 0.7500 0.5000
O: 0.2764 0.0000 0.2764
O: 0.2764 0.2764 0.0000
O: 0.5000 0.2500 0.7500
O: 0.5000 0.7500 0.2500
O: 0.7236 0.0000 0.7236
O: 0.7236 0.7236 0.0000
O: 0.7500 0.2500 0.5000
O: 0.7500 0.5000 0.2500